Record 1
Theoretical powder X-ray diffraction pattern
Compound: Tl3Se2O6
Radiation: copper Kα
Structure: a DFT-relaxed cell (GGA-PBE, Alexandria)
Kinematic intensities with the Lorentz-polarization factor, no thermal factor.

Cell lengths 5.731, 8.152, 10.880 Å; angles 90.00, 90.00, 90.00 degrees
Atoms (fractional coordinates):
Tl1 0.000 0.000 0.000
Tl2 0.000 0.500 0.211
Tl3 0.000 0.500 0.789
Tl4 0.500 0.000 0.289
Tl5 0.500 0.000 0.711
Tl6 0.500 0.500 0.500
Se1 0.066 0.209 0.500
Se2 0.434 0.709 0.000
Se3 0.566 0.291 0.000
Se4 0.934 0.791 0.500
O1 0.198 0.304 0.376
O2 0.198 0.304 0.624
O3 0.225 0.741 0.500
O4 0.275 0.241 0.000
O5 0.302 0.804 0.124
O6 0.302 0.804 0.876
O7 0.698 0.196 0.124
O8 0.698 0.196 0.876
O9 0.725 0.759 0.000
O10 0.775 0.259 0.500
O11 0.802 0.696 0.376
O12 0.802 0.696 0.624

Peak list (8 most intense, 2θ from 10° to 90°, most intense first)
25.1 deg, d = 3.551 Å, I = 100
28.1 deg, d = 3.177 Å, I = 42
50.1 deg, d = 1.820 Å, I = 23
26.9 deg, d = 3.314 Å, I = 20
40.3 deg, d = 2.238 Å, I = 17
31.2 deg, d = 2.865 Å, I = 16
38.4 deg, d = 2.344 Å, I = 16
41.7 deg, d = 2.167 Å, I = 15

Record 2
Theoretical powder X-ray diffraction pattern
Compound: RbPrTc2O8
Radiation: copper Kα
Structure: a DFT-relaxed cell (GGA-PBE, Alexandria)
Kinematic intensities with the Lorentz-polarization factor, no thermal factor.

Cell lengths 6.124, 6.124, 8.111 Å; angles 90.00, 90.00, 120.00 degrees
Atoms (fractional coordinates):
Rb1 0.000 0.000 0.000
Pr1 0.000 0.000 0.500
Tc1 0.333 0.667 0.760
Tc2 0.667 0.333 0.240
O1 0.173 0.348 0.684
O2 0.175 0.827 0.684
O3 0.333 0.667 0.976
O4 0.348 0.175 0.316
O5 0.652 0.825 0.684
O6 0.667 0.333 0.024
O7 0.825 0.173 0.316
O8 0.827 0.652 0.316

Peak list (8 most intense, 2θ from 10° to 90°, most intense first)
20.0 deg, d = 4.439 Å, I = 100
27.7 deg, d = 3.222 Å, I = 79
29.2 deg, d = 3.062 Å, I = 70
40.6 deg, d = 2.220 Å, I = 39
50.8 deg, d = 1.797 Å, I = 28
54.3 deg, d = 1.691 Å, I = 26
16.7 deg, d = 5.304 Å, I = 21
46.7 deg, d = 1.946 Å, I = 19

Record 3
Theoretical powder X-ray diffraction pattern
Compound: YPH4O6
Radiation: copper Kα
Structure: a DFT-relaxed cell (GGA-PBE, Alexandria)
Kinematic intensities with the Lorentz-polarization factor, no thermal factor.

Cell lengths 8.136, 8.136, 5.609 Å; angles 99.42, 99.42, 134.87 degrees
Atoms (fractional coordinates):
Y1 0.170 0.830 0.750
Y2 0.830 0.170 0.250
P1 0.331 0.669 0.250
P2 0.669 0.331 0.750
H1 0.158 0.330 0.768
H2 0.243 0.249 0.588
H3 0.249 0.243 0.088
H4 0.330 0.158 0.268
H5 0.670 0.842 0.732
H6 0.751 0.757 0.912
H7 0.757 0.751 0.412
H8 0.842 0.670 0.232
O1 0.146 0.283 0.585
O2 0.167 0.391 0.081
O3 0.186 0.641 0.420
O4 0.283 0.146 0.085
O5 0.359 0.814 0.080
O6 0.391 0.167 0.581
O7 0.609 0.833 0.419
O8 0.641 0.186 0.920
O9 0.717 0.854 0.915
O10 0.814 0.359 0.580
O11 0.833 0.609 0.919
O12 0.854 0.717 0.415

Peak list (8 most intense, 2θ from 10° to 90°, most intense first)
21.1 deg, d = 4.205 Å, I = 100
11.8 deg, d = 7.514 Å, I = 67
29.6 deg, d = 3.019 Å, I = 63
31.3 deg, d = 2.858 Å, I = 42
33.9 deg, d = 2.643 Å, I = 29
51.2 deg, d = 1.783 Å, I = 24
23.7 deg, d = 3.753 Å, I = 22
51.8 deg, d = 1.763 Å, I = 20

Record 4
Theoretical powder X-ray diffraction pattern
Compound: CePmErPa
Radiation: copper Kα
Structure: a DFT-relaxed cell (GGA-PBE, Alexandria)
Kinematic intensities with the Lorentz-polarization factor, no thermal factor.

Cell lengths 5.545, 5.545, 5.545 Å; angles 60.00, 60.00, 60.00 degrees
Atoms (fractional coordinates):
Ce1 0.000 0.000 0.000
Pm1 0.500 0.500 0.500
Er1 0.750 0.750 0.750
Pa1 0.250 0.250 0.250

Peak list (8 most intense, 2θ from 10° to 90°, most intense first)
32.3 deg, d = 2.772 Å, I = 100
57.6 deg, d = 1.601 Å, I = 39
46.3 deg, d = 1.960 Å, I = 19
76.9 deg, d = 1.240 Å, I = 17
67.6 deg, d = 1.386 Å, I = 12
85.9 deg, d = 1.132 Å, I = 4
22.7 deg, d = 3.921 Å, I = 3
19.6 deg, d = 4.527 Å, I = 2

Record 5
Theoretical powder X-ray diffraction pattern
Compound: La2SmHo12
Radiation: copper Kα
Structure: a DFT-relaxed cell (GGA-PBE, Alexandria)
Kinematic intensities with the Lorentz-polarization factor, no thermal factor.

Cell lengths 6.639, 6.639, 24.509 Å; angles 92.23, 92.23, 115.22 degrees
Atoms (fractional coordinates):
La1 0.064 0.064 0.273
La2 0.429 0.429 0.726
La3 0.571 0.571 0.274
La4 0.936 0.936 0.727
Sm1 0.250 0.250 0.000
Sm2 0.750 0.750 0.000
Ho1 0.049 0.549 0.200
Ho2 0.084 0.580 0.332
Ho3 0.140 0.140 0.573
Ho4 0.141 0.636 0.555
Ho5 0.217 0.217 0.865
Ho6 0.233 0.733 0.926
Ho7 0.267 0.767 0.074
Ho8 0.283 0.283 0.135
Ho9 0.355 0.355 0.431
Ho10 0.364 0.859 0.445
Ho11 0.420 0.916 0.668
Ho12 0.451 0.951 0.800
Ho13 0.549 0.049 0.200
Ho14 0.580 0.084 0.332
Ho15 0.636 0.141 0.555
Ho16 0.645 0.645 0.569
Ho17 0.717 0.717 0.865
Ho18 0.733 0.233 0.926
Ho19 0.767 0.267 0.074
Ho20 0.783 0.783 0.135
Ho21 0.859 0.364 0.445
Ho22 0.860 0.860 0.427
Ho23 0.916 0.420 0.668
Ho24 0.951 0.451 0.800

Peak list (8 most intense, 2θ from 10° to 90°, most intense first)
31.9 deg, d = 2.803 Å, I = 100
30.2 deg, d = 2.964 Å, I = 94
32.5 deg, d = 2.759 Å, I = 91
31.2 deg, d = 2.871 Å, I = 64
30.3 deg, d = 2.953 Å, I = 51
32.2 deg, d = 2.777 Å, I = 50
33.4 deg, d = 2.683 Å, I = 49
46.0 deg, d = 1.973 Å, I = 37

Record 6
Theoretical powder X-ray diffraction pattern
Compound: KTc2BiO8
Radiation: copper Kα
Structure: a DFT-relaxed cell (GGA-PBE, Alexandria)
Kinematic intensities with the Lorentz-polarization factor, no thermal factor.

Cell lengths 5.979, 5.979, 7.844 Å; angles 90.00, 90.00, 120.00 degrees
Atoms (fractional coordinates):
K1 0.000 0.000 0.000
Tc1 0.333 0.667 0.775
Tc2 0.667 0.333 0.225
Bi1 0.000 0.000 0.500
O1 0.157 0.339 0.699
O2 0.181 0.843 0.699
O3 0.333 0.667 0.997
O4 0.339 0.181 0.301
O5 0.661 0.819 0.699
O6 0.667 0.333 0.003
O7 0.819 0.157 0.301
O8 0.843 0.661 0.301

Peak list (8 most intense, 2θ from 10° to 90°, most intense first)
20.6 deg, d = 4.321 Å, I = 100
28.6 deg, d = 3.126 Å, I = 54
29.9 deg, d = 2.989 Å, I = 48
41.8 deg, d = 2.161 Å, I = 28
47.9 deg, d = 1.899 Å, I = 21
52.2 deg, d = 1.751 Å, I = 20
17.1 deg, d = 5.178 Å, I = 18
56.1 deg, d = 1.640 Å, I = 15

Record 7
Theoretical powder X-ray diffraction pattern
Compound: MnBeTcPCl
Radiation: copper Kα
Structure: a DFT-relaxed cell (GGA-PBE, Alexandria)
Kinematic intensities with the Lorentz-polarization factor, no thermal factor.

Cell lengths 3.019, 3.057, 7.887 Å; angles 90.00, 90.00, 90.00 degrees
Atoms (fractional coordinates):
Mn1 0.000 0.000 0.000
Be1 0.500 0.500 0.519
Tc1 0.000 0.000 0.339
P1 0.500 0.500 0.195
Cl1 0.000 0.500 0.750

Peak list (8 most intense, 2θ from 10° to 90°, most intense first)
11.2 deg, d = 7.887 Å, I = 100
43.7 deg, d = 2.073 Å, I = 49
29.6 deg, d = 3.019 Å, I = 41
45.8 deg, d = 1.983 Å, I = 38
45.5 deg, d = 1.993 Å, I = 35
42.1 deg, d = 2.148 Å, I = 31
37.2 deg, d = 2.416 Å, I = 29
31.4 deg, d = 2.851 Å, I = 25